This entry pairs a crystal structure of La5TbNd8 with its computed PXRD pattern. Radiation: Cu Kα (weighted mean of Kα1 and Kα2). Structure: a structure optimized by DFT (GGA-PBE).
Kinematic intensities with the Lorentz-polarization factor, no thermal factor.

Largest 10 diffraction maxima, by intensity, 15 to 90 degrees two-theta:
- 2.721 Å, I 100
- 3.123 Å, I 90
- 3.137 Å, I 78
- 3.260 Å, I 76
- 2.648 Å, I 59
- 2.675 Å, I 55
- 2.895 Å, I 28
- 1.511 Å, I 24
- 1.715 Å, I 20
- 1.939 Å, I 19

Crystal structure
Cell lengths 8.6950, 8.6950, 8.6950 Å; angles 110.80, 110.80, 106.85 degrees
Sites, in units of the cell vectors:
La: 0.0000 0.0000 0.0000
La: 0.2098 0.5302 0.8946
La: 0.4698 0.3644 0.6796
La: 0.6356 0.3152 0.1054
La: 0.6848 0.7902 0.3204
Tb: 0.2500 0.7500 0.5000
Nd: 0.1664 0.0611 0.7399
Nd: 0.3212 0.4265 0.2601
Nd: 0.4265 0.0264 0.2572
Nd: 0.5735 0.8336 0.8947
Nd: 0.7691 0.1693 0.7428
Nd: 0.8307 0.5735 0.5998
Nd: 0.9389 0.6788 0.1053
Nd: 0.9736 0.2309 0.4002